1.
# TiMnH12O6F6
Theoretical powder diffraction line list, λ = 1.5418 Å (Cu Kα). Input: a GGA+U-relaxed structure.
No peak broadening, texture or thermal motion is included.

Peak list (8 most intense, 10 to 90 degrees two-theta, low angle first)
2θ (°), intensity
18.0, 100.0
20.4, 61.6
29.0, 29.2
32.9, 37.5
45.4, 16.7
45.5, 19.2
48.8, 12.6
52.8, 10.9

Structural model:
a = 6.620 Å, b = 6.622 Å, c = 6.640 Å
α = 96.26°, β = 96.31°, γ = 96.34°
Sites, in units of the cell vectors:
Ti 0.000 0.000 0.000
Mn 0.500 0.500 0.500
H 0.096 0.457 0.290
H 0.178 0.694 0.315
H 0.290 0.096 0.457
H 0.307 0.685 0.822
H 0.315 0.177 0.694
H 0.456 0.290 0.096
H 0.544 0.710 0.904
H 0.685 0.823 0.306
H 0.693 0.315 0.178
H 0.710 0.904 0.543
H 0.822 0.306 0.685
H 0.904 0.543 0.710
O 0.199 0.564 0.367
O 0.367 0.199 0.564
O 0.437 0.633 0.801
O 0.563 0.367 0.199
O 0.633 0.801 0.436
O 0.801 0.436 0.633
F 0.062 0.754 0.860
F 0.141 0.937 0.246
F 0.247 0.140 0.937
F 0.753 0.860 0.063
F 0.859 0.063 0.754
F 0.938 0.246 0.140

---

2.
# V3HPb5O13
Theoretical powder diffraction line list, λ = 1.5418 Å (Cu Kα). Input: a GGA+U-relaxed structure.
No peak broadening, texture or thermal motion is included.

Peak list (8 most intense, 10 to 90 degrees two-theta, low angle first)
2θ (°), intensity
25.6, 38.2
26.3, 40.4
28.9, 100.0
29.2, 85.0
29.9, 50.7
42.3, 38.3
44.8, 33.7
47.1, 35.7

Structural model:
a = 10.361 Å, b = 10.361 Å, c = 7.563 Å
α = 90.00°, β = 90.00°, γ = 120.00°
Sites, in units of the cell vectors:
V 0.030 0.399 0.000
V 0.369 0.970 0.000
V 0.399 0.369 0.500
V 0.601 0.631 0.000
V 0.631 0.030 0.500
V 0.970 0.601 0.500
H 0.000 0.000 0.192
H 0.000 0.000 0.692
Pb 0.007 0.756 0.006
Pb 0.244 0.251 0.006
Pb 0.251 0.007 0.506
Pb 0.333 0.667 0.255
Pb 0.333 0.667 0.739
Pb 0.667 0.333 0.239
Pb 0.667 0.333 0.755
Pb 0.749 0.993 0.006
Pb 0.756 0.749 0.506
Pb 0.993 0.244 0.506
O 0.000 0.000 0.063
O 0.000 0.000 0.563
O 0.087 0.337 0.818
O 0.096 0.346 0.182
O 0.125 0.595 0.997
O 0.163 0.673 0.503
O 0.250 0.904 0.182
O 0.250 0.913 0.818
O 0.327 0.491 0.503
O 0.337 0.250 0.318
O 0.346 0.250 0.682
O 0.405 0.530 0.997
O 0.470 0.875 0.997
O 0.491 0.163 0.003
O 0.509 0.837 0.503
O 0.530 0.125 0.497
O 0.595 0.470 0.497
O 0.654 0.750 0.182
O 0.663 0.750 0.818
O 0.673 0.509 0.003
O 0.750 0.087 0.318
O 0.750 0.096 0.682
O 0.837 0.327 0.003
O 0.875 0.405 0.497
O 0.904 0.654 0.682
O 0.913 0.663 0.318

---

3.
# Li3CrSi2O7
Theoretical powder diffraction line list, λ = 1.5418 Å (Cu Kα). Input: a GGA+U-relaxed structure.
No peak broadening, texture or thermal motion is included.

Peak list (8 most intense, 10 to 90 degrees two-theta, low angle first)
2θ (°), intensity
14.2, 92.6
21.2, 42.2
21.5, 98.3
24.6, 34.5
24.9, 48.4
35.1, 100.0
35.8, 30.4
62.9, 26.0

Structural model:
a = 8.896 Å, b = 12.475 Å, c = 5.018 Å
α = 90.00°, β = 90.00°, γ = 90.00°
Sites, in units of the cell vectors:
Li 0.015 0.250 0.032
Li 0.158 0.590 0.536
Li 0.158 0.910 0.536
Li 0.342 0.090 0.036
Li 0.342 0.410 0.036
Li 0.485 0.750 0.532
Li 0.515 0.250 0.468
Li 0.658 0.590 0.964
Li 0.658 0.910 0.964
Li 0.842 0.090 0.464
Li 0.842 0.410 0.464
Li 0.985 0.750 0.968
Cr 0.000 0.000 0.000
Cr 0.000 0.500 0.000
Cr 0.500 0.000 0.500
Cr 0.500 0.500 0.500
Si 0.183 0.130 0.513
Si 0.183 0.370 0.513
Si 0.317 0.630 0.013
Si 0.317 0.870 0.013
Si 0.683 0.130 0.987
Si 0.683 0.370 0.987
Si 0.817 0.630 0.487
Si 0.817 0.870 0.487
O 0.100 0.039 0.337
O 0.100 0.461 0.337
O 0.114 0.250 0.419
O 0.138 0.629 0.937
O 0.138 0.871 0.937
O 0.147 0.113 0.830
O 0.147 0.387 0.830
O 0.353 0.613 0.330
O 0.353 0.887 0.330
O 0.362 0.129 0.437
O 0.362 0.371 0.437
O 0.386 0.750 0.919
O 0.400 0.539 0.837
O 0.400 0.961 0.837
O 0.600 0.039 0.163
O 0.600 0.461 0.163
O 0.614 0.250 0.081
O 0.638 0.629 0.563
O 0.638 0.871 0.563
O 0.647 0.113 0.670
O 0.647 0.387 0.670
O 0.853 0.613 0.170
O 0.853 0.887 0.170
O 0.862 0.129 0.063
O 0.862 0.371 0.063
O 0.886 0.750 0.581
O 0.900 0.539 0.663
O 0.900 0.961 0.663

---

4.
# MgMn6O7F5
Theoretical powder diffraction line list, λ = 1.5418 Å (Cu Kα). Input: a GGA+U-relaxed structure.
No peak broadening, texture or thermal motion is included.

Peak list (8 most intense, 10 to 90 degrees two-theta, low angle first)
2θ (°), intensity
23.1, 86.7
28.4, 100.0
29.5, 23.5
33.5, 45.1
33.9, 43.3
34.8, 36.2
36.6, 23.8
47.2, 29.3

Structural model:
a = 5.211 Å, b = 5.666 Å, c = 7.874 Å
α = 85.70°, β = 83.36°, γ = 79.93°
Sites, in units of the cell vectors:
Mg 0.000 0.000 0.000
Mn 0.011 0.398 0.203
Mn 0.443 0.488 0.503
Mn 0.470 0.194 0.834
Mn 0.501 0.866 0.182
Mn 0.859 0.617 0.773
Mn 0.988 0.073 0.530
O 0.175 0.315 0.410
O 0.245 0.474 0.728
O 0.282 0.169 0.068
O 0.672 0.553 0.296
O 0.691 0.884 0.927
O 0.719 0.313 0.645
O 0.794 0.825 0.590
F 0.180 0.690 0.088
F 0.182 0.996 0.764
F 0.271 0.834 0.422
F 0.819 0.054 0.242
F 0.822 0.372 0.971

---

5.
# Li6CoNi5O12
Theoretical powder diffraction line list, λ = 1.5418 Å (Cu Kα). Input: a GGA+U-relaxed structure.
No peak broadening, texture or thermal motion is included.

Peak list (8 most intense, 10 to 90 degrees two-theta, low angle first)
2θ (°), intensity
18.1, 100.0
35.4, 10.4
36.7, 13.9
37.4, 12.4
37.9, 10.9
42.5, 12.8
43.3, 12.8
63.0, 9.5

Structural model:
a = 4.892 Å, b = 5.042 Å, c = 9.877 Å
α = 95.76°, β = 90.65°, γ = 117.78°
Sites, in units of the cell vectors:
Li 0.021 0.335 0.251
Li 0.318 0.346 0.752
Li 0.353 0.995 0.252
Li 0.647 0.005 0.748
Li 0.682 0.654 0.248
Li 0.979 0.665 0.749
Co 0.500 0.500 0.500
Ni 0.000 0.500 0.000
Ni 0.162 0.828 0.500
Ni 0.333 0.166 0.000
Ni 0.667 0.834 0.000
Ni 0.838 0.172 0.500
O 0.008 0.170 0.890
O 0.156 0.163 0.393
O 0.186 0.516 0.613
O 0.325 0.498 0.109
O 0.342 0.837 0.890
O 0.480 0.803 0.398
O 0.520 0.197 0.602
O 0.658 0.163 0.110
O 0.675 0.502 0.891
O 0.814 0.484 0.387
O 0.844 0.837 0.607
O 0.992 0.830 0.110